Entry 1:
Simulated powder XRD pattern
Compound: ErAgPb
Radiation: Cu Kα
Structure: the GGA-PBE geometry in the Materials Project
Kinematic intensities with the Lorentz-polarization factor, no thermal factor.

Cell and atoms:
a b c (Å): 4.864 4.864 7.652
angles (deg): 90.00 90.00 120.00
Fractional coordinates of all 6 atoms:
1 Er 0.000 0.000 0.214
2 Er 0.000 0.000 0.786
3 Ag 0.333 0.667 0.985
4 Ag 0.667 0.333 0.015
5 Pb 0.333 0.667 0.578
6 Pb 0.667 0.333 0.422

The 6 most intense peaks (5° ≤ 2θ ≤ 70°), sorted by position:
24.1 deg, rel. 31
31.6 deg, rel. 100
37.0 deg, rel. 90
41.4 deg, rel. 36
49.4 deg, rel. 29
63.3 deg, rel. 28

Entry 2:
Simulated powder XRD pattern
Compound: ErAgPb
Radiation: Cu Kα
Structure: the GGA-PBE geometry in the Materials Project
Kinematic intensities with the Lorentz-polarization factor, no thermal factor.

Cell and atoms:
a b c (Å): 7.510 7.510 4.556
angles (deg): 90.00 90.00 120.00
Fractional coordinates of all 9 atoms:
1 Er 0.000 0.569 0.000
2 Er 0.431 0.431 0.000
3 Er 0.569 0.000 0.000
4 Ag 0.000 0.246 0.500
5 Ag 0.246 0.000 0.500
6 Ag 0.754 0.754 0.500
7 Pb 0.000 0.000 0.000
8 Pb 0.333 0.667 0.500
9 Pb 0.667 0.333 0.500

The 6 most intense peaks (5° ≤ 2θ ≤ 70°), sorted by position:
30.9 deg, rel. 50
33.9 deg, rel. 100
36.6 deg, rel. 24
39.6 deg, rel. 28
41.7 deg, rel. 49
65.8 deg, rel. 29

Entry 3:
Simulated powder XRD pattern
Compound: Er2AgPt
Radiation: Cu Kα
Structure: the GGA-PBE geometry in the Materials Project
Kinematic intensities with the Lorentz-polarization factor, no thermal factor.

Cell and atoms:
a b c (Å): 4.978 4.978 4.978
angles (deg): 60.00 60.00 60.00
Fractional coordinates of all 4 atoms:
1 Er 0.250 0.250 0.250
2 Er 0.750 0.750 0.750
3 Ag 0.000 0.000 0.000
4 Pt 0.500 0.500 0.500

The 6 most intense peaks (5° ≤ 2θ ≤ 70°), sorted by position:
21.9 deg, rel. 3
36.1 deg, rel. 100
42.6 deg, rel. 2
52.0 deg, rel. 18
57.0 deg, rel. 1
64.9 deg, rel. 36

Entry 4:
Simulated powder XRD pattern
Compound: ErAgSn
Radiation: Cu Kα
Structure: the GGA-PBE geometry in the Materials Project
Kinematic intensities with the Lorentz-polarization factor, no thermal factor.

Cell and atoms:
a b c (Å): 7.382 7.382 4.486
angles (deg): 90.00 90.00 120.00
Fractional coordinates of all 9 atoms:
1 Er 0.000 0.570 0.000
2 Er 0.430 0.430 0.000
3 Er 0.570 0.000 0.000
4 Ag 0.000 0.247 0.500
5 Ag 0.247 0.000 0.500
6 Ag 0.753 0.753 0.500
7 Sn 0.000 0.000 0.000
8 Sn 0.333 0.667 0.500
9 Sn 0.667 0.333 0.500

The 6 most intense peaks (5° ≤ 2θ ≤ 70°), sorted by position:
31.4 deg, rel. 67
34.5 deg, rel. 100
37.2 deg, rel. 36
40.2 deg, rel. 29
42.5 deg, rel. 32
67.1 deg, rel. 25